1.
NbCrGa: computed X-ray powder pattern (λ = 1.5418 Å (Cu Kα)), based on the PBE geometry in the Materials Project.
No peak broadening, texture or thermal motion is included.

Structure:
```
NbCrGa
1.0
8.0018 0.0000 0.0000
0.0000 2.5021 4.4723
0.0000 -2.5021 4.4723
Nb Cr Ga
4 4 4
direct
0.1846 0.0000 0.0000 Nb
0.3000 0.6657 0.6657 Nb
0.7000 0.6657 0.6657 Nb
0.8154 0.0000 0.0000 Nb
0.0000 0.0005 0.5027 Cr
0.0000 0.5027 0.0005 Cr
0.2353 0.3189 0.3189 Cr
0.7647 0.3189 0.3189 Cr
0.0000 0.5072 0.5072 Ga
0.5000 0.1598 0.1598 Ga
0.5000 0.1620 0.6658 Ga
0.5000 0.6658 0.1620 Ga
```

Top 12 peaks for 2θ from 10° to 90°, most intense first:
2θ 41.90, I 100
2θ 39.59, I 53
2θ 42.93, I 47
2θ 42.62, I 29
2θ 35.03, I 24
2θ 39.33, I 22
2θ 73.34, I 18
2θ 66.99, I 17
2θ 74.02, I 17
2θ 68.60, I 15
2θ 45.33, I 15
2θ 35.89, I 14

=====

2.
CrGa3Ni2S8: computed X-ray powder pattern (λ = 1.5418 Å (Cu Kα)), based on the PBE geometry in the Materials Project.
No peak broadening, texture or thermal motion is included.

Structure:
```
CrGa3Ni2S8
1.0
12.2979 -1.8104 0.0000
12.2979 1.8104 0.0000
-1.6195 0.0000 6.1224
Cr Ga Ni S
1 3 2 8
direct
0.0000 0.0000 0.0000 Cr
0.2853 0.2853 0.6225 Ga
0.4994 0.4994 0.5053 Ga
0.7855 0.7855 0.1216 Ga
0.1428 0.1428 0.8143 Ni
0.6426 0.6426 0.3118 Ni
0.0929 0.0929 0.0976 S
0.1910 0.1910 0.5288 S
0.3291 0.3291 0.3336 S
0.4601 0.4601 0.7982 S
0.5954 0.5954 0.5985 S
0.6900 0.6900 0.0275 S
0.8293 0.8293 0.8341 S
0.9592 0.9592 0.2956 S
```

Top 12 peaks for 2θ from 10° to 90°, most intense first:
2θ 22.43, I 100
2θ 29.38, I 97
2θ 32.20, I 78
2θ 50.01, I 67
2θ 29.20, I 49
2θ 41.81, I 45
2θ 54.78, I 44
2θ 47.95, I 43
2θ 32.05, I 40
2θ 50.41, I 33
2θ 55.46, I 30
2θ 41.71, I 23